Structure and theoretical powder X-ray diffraction pattern of MgFe6O10F2 (a PBE+U-relaxed structure; copper Kα).
Lines closer than 0.1° are merged.

Crystal structure
a b c (Å): 5.1288 5.7062 7.6546
angles (deg): 81.36 84.64 82.55
Fractional coordinates of all 19 atoms:
Mg: 0.0000 0.0000 0.0000
Fe: 0.3982 0.4687 0.4871
Fe: 0.5133 0.2025 0.8481
Fe: 0.5148 0.8885 0.2086
Fe: 0.9274 0.6265 0.8112
Fe: 0.9463 0.3669 0.1921
Fe: 0.9586 0.0052 0.4996
O: 0.1328 0.2913 0.4083
O: 0.2683 0.8081 0.4116
O: 0.2758 0.4549 0.7386
O: 0.2897 0.1523 0.0701
O: 0.6299 0.5487 0.2747
O: 0.6542 0.2070 0.6037
O: 0.6683 0.8827 0.9434
O: 0.7997 0.3458 0.9428
O: 0.8038 0.7303 0.5906
O: 0.8117 0.0464 0.2559
F: 0.1144 0.6491 0.0588
F: 0.1300 0.9517 0.7539

Main lines, in order of rising 2θ (2θ = 10–80°):
(1 1 1), 2θ = 23.45°, intensity 100; (-1 1 1), 2θ = 27.33°, intensity 91; (1 -1 2), 2θ = 35.25°, intensity 55; (2 0 0), 2θ = 35.40°, intensity 17; (0 0 3), 2θ = 35.71°, intensity 41; (1 0 3), 2θ = 38.71°, intensity 19; (1 0 -3), 2θ = 41.30°, intensity 18; (1 3 0), 2θ = 50.04°, intensity 23; (1 -3 0), 2θ = 54.26°, intensity 33; (0 2 -4), 2θ = 63.15°, intensity 17